No. 1
Simulated X-ray powder pattern
Compound: Ba4AuN
Radiation: Cu Kα, 1.54184 Å
Structure: DFT lattice parameters and positions (PBE)

Top 12 peaks for 2θ = 10–90°, most intense first:
d_spacing  2θ (°)  Rel. int.
3.149  28.3  100
3.112  28.7  71
8.808  10.0  70
3.600  24.7  67
3.093  28.9  61
2.214  40.8  55
3.493  25.5  53
2.206  40.9  52
4.577  19.4  42
2.968  30.1  39
5.930  14.9  38
1.800  50.7  37

abc: 9.798 9.798 9.835
angles: 107.31 107.31 37.49
Positions (direct):
Ba 0.056 0.056 0.380
Ba 0.134 0.134 0.961
Ba 0.252 0.252 0.684
Ba 0.395 0.395 0.310
Ba 0.605 0.605 0.690
Ba 0.748 0.748 0.316
Ba 0.866 0.866 0.039
Ba 0.944 0.944 0.620
Au 0.223 0.223 0.323
Au 0.777 0.777 0.677
N 0.098 0.098 0.680
N 0.902 0.902 0.320

No. 2
Simulated X-ray powder pattern
Compound: Ac2CdN
Radiation: Cu Kα, 1.54184 Å
Structure: DFT lattice parameters and positions (PBE)

Top 12 peaks for 2θ = 10–90°, most intense first:
d_spacing  2θ (°)  Rel. int.
3.173  28.1  100
3.117  28.6  25
1.810  50.4  20
3.063  29.2  20
2.185  41.3  17
1.789  51.1  13
4.167  21.3  11
1.855  49.1  10
1.389  67.4  9
1.587  58.1  9
2.308  39.0  9
1.843  49.4  8

abc: 6.126 6.234 7.575
angles: 90.00 113.92 90.00
Positions (direct):
Ac 0.114 0.000 0.306
Ac 0.308 0.500 0.694
Ac 0.692 0.500 0.306
Ac 0.886 0.000 0.694
Cd 0.000 0.500 0.000
Cd 0.500 0.000 0.000
N 0.000 0.250 0.500
N 0.000 0.750 0.500

No. 3
Simulated X-ray powder pattern
Compound: ScZnAg2
Radiation: Cu Kα, 1.54184 Å
Structure: DFT lattice parameters and positions (PBE)

Top 12 peaks for 2θ = 10–90°, most intense first:
d_spacing  2θ (°)  Rel. int.
2.423  37.1  100
2.128  42.5  34
1.278  74.2  24
1.473  63.1  19
2.042  44.4  15
1.240  76.9  11
1.505  61.6  10
4.084  21.8  10
1.211  79.0  10
3.010  29.7  9
1.887  48.2  5
1.690  54.3  3

abc: 4.257 4.257 4.084
angles: 90.00 90.00 90.00
Positions (direct):
Sc 0.000 0.000 0.000
Zn 0.500 0.500 0.000
Ag 0.000 0.500 0.500
Ag 0.500 0.000 0.500

No. 4
Simulated X-ray powder pattern
Compound: La2DyY4Sc
Radiation: Cu Kα, 1.54184 Å
Structure: DFT lattice parameters and positions (PBE)

Top 12 peaks for 2θ = 10–90°, most intense first:
d_spacing  2θ (°)  Rel. int.
2.924  30.6  100
1.789  51.1  23
2.541  35.3  17
2.533  35.4  17
2.523  35.6  17
1.531  60.5  14
1.527  60.6  14
1.523  60.8  13
1.462  63.7  12
1.794  50.9  12
1.164  83.0  6
1.162  83.2  5

abc: 5.066 5.081 10.092
angles: 90.00 90.00 90.00
Positions (direct):
La 0.000 0.000 0.000
La 0.500 0.500 0.500
Dy 0.000 0.000 0.500
Y 0.000 0.500 0.245
Y 0.000 0.500 0.755
Y 0.500 0.000 0.246
Y 0.500 0.000 0.754
Sc 0.500 0.500 0.000

No. 5
Simulated X-ray powder pattern
Compound: Tl2CdSn3Au4
Radiation: Cu Kα, 1.54184 Å
Structure: DFT lattice parameters and positions (PBE)

Top 12 peaks for 2θ = 10–90°, most intense first:
d_spacing  2θ (°)  Rel. int.
2.919  30.6  100
2.426  37.1  76
2.943  30.4  61
1.872  48.6  34
2.158  41.9  31
2.020  44.9  27
1.715  53.4  27
1.479  62.8  26
1.552  59.6  22
1.205  79.6  16
1.629  56.5  14
1.343  70.1  14

abc: 4.852 4.852 11.105
angles: 90.00 90.00 90.00
Positions (direct):
Tl 0.000 0.500 0.240
Tl 0.500 0.000 0.760
Cd 0.000 0.000 0.500
Sn 0.000 0.500 0.875
Sn 0.500 0.000 0.125
Sn 0.500 0.500 0.500
Au 0.000 0.000 0.000
Au 0.000 0.500 0.630
Au 0.500 0.000 0.370
Au 0.500 0.500 0.000

No. 6
Simulated X-ray powder pattern
Compound: La7Ru3
Radiation: Cu Kα, 1.54184 Å
Structure: DFT lattice parameters and positions (PBE)

Top 12 peaks for 2θ = 10–90°, most intense first:
d_spacing  2θ (°)  Rel. int.
3.031  29.5  100
3.074  29.0  69
2.803  31.9  68
2.865  31.2  55
2.840  31.5  52
2.027  44.7  37
2.308  39.0  37
2.493  36.0  36
1.820  50.1  35
2.695  33.2  31
2.571  34.9  30
1.776  51.4  28

abc: 7.365 23.730 6.766
angles: 90.00 90.00 90.00
Positions (direct):
La 0.067 0.114 0.144
La 0.067 0.386 0.144
La 0.165 0.750 0.638
La 0.174 0.024 0.677
La 0.174 0.476 0.677
La 0.201 0.175 0.678
La 0.201 0.325 0.678
La 0.299 0.675 0.178
La 0.299 0.825 0.178
La 0.326 0.524 0.177
La 0.326 0.976 0.177
La 0.335 0.250 0.138
La 0.433 0.614 0.644
La 0.433 0.886 0.644
La 0.567 0.114 0.356
La 0.567 0.386 0.356
La 0.665 0.750 0.862
La 0.674 0.024 0.823
La 0.674 0.476 0.823
La 0.701 0.175 0.822
La 0.701 0.325 0.822
La 0.799 0.675 0.322
La 0.799 0.825 0.322
La 0.826 0.524 0.323
La 0.826 0.976 0.323
La 0.835 0.250 0.362
La 0.933 0.614 0.856
La 0.933 0.886 0.856
Ru 0.003 0.250 0.967
Ru 0.106 0.595 0.471
Ru 0.106 0.905 0.471
Ru 0.394 0.095 0.971
Ru 0.394 0.405 0.971
Ru 0.497 0.750 0.467
Ru 0.503 0.250 0.533
Ru 0.606 0.595 0.029
Ru 0.606 0.905 0.029
Ru 0.894 0.095 0.529
Ru 0.894 0.405 0.529
Ru 0.997 0.750 0.033